Diffraction record for MoHPb2O6. The X-ray diffraction stick pattern is computed, not measured: it uses a GGA+U-relaxed structure and Cu Kα.
Neutral-atom scattering factors, no anomalous dispersion.

Top 12 peaks for 5 to 70 degrees two-theta, by angle:
(hkl)  d [Å]  2theta  I (rel.)
0 1 1  4.162  21.35  61
1 1 -1  3.522  25.29  51
1 0 2  2.957  30.23  69
1 1 1  2.921  30.61  100
2 0 -2  2.793  32.04  36
0 1 3  2.763  32.40  28
2 1 -1  2.319  38.83  26
0 1 5  1.899  47.91  20
1 2 2  1.800  50.73  50
2 2 -2  1.761  51.93  24
3 0 -6  1.642  55.99  20
2 1 3  1.570  58.80  23

Structural model:
```
data_MoHPb2O6
_chemical_formula_sum 'Mo2 H2 Pb4 O12'
_cell_length_a 5.586
_cell_length_b 4.537
_cell_length_c 11.847
_cell_angle_alpha 90.00
_cell_angle_beta 118.07
_cell_angle_gamma 90.00
_symmetry_space_group_name_H-M 'P 1 21/c 1'
_symmetry_Int_Tables_number 14
loop_
_symmetry_equiv_pos_as_xyz
'x,y,z'
'-x,-y,-z'
'-x,y+1/2,-z+1/2'
'x,-y+1/2,z+1/2'
loop_
_atom_site_label
_atom_site_type_symbol
_atom_site_fract_x
_atom_site_fract_y
_atom_site_fract_z
Mo1 Mo 0.000 0.000 0.000
H1 H 0.500 0.000 0.500
Pb1 Pb 0.317 0.001 0.817
O1 O 0.014 0.730 0.368
O2 O 0.277 0.730 0.633
O3 O 0.342 0.230 0.500
```